No. 1
Li2Mn3SbO8: theoretical X-ray powder pattern (Cu Kα, 1.54184 Å), based on DFT lattice parameters and positions (GGA+U).
Intensities are scaled so that the largest is 100.

Peak list (10 most intense, 2θ = 5–70°, low angle first)
index	d (Å)	I_rel
1 1 0	4.954	100.0
2 0 -1	4.901	49.5
1 1 -2	2.673	23.1
0 2 1	2.638	17.7
3 1 -2	2.614	16.2
3 1 0	2.530	15.3
2 2 -2	2.195	51.9
4 0 0	2.080	21.6
2 2 2	1.532	14.9
6 2 -2	1.488	17.2

Atomic structure:
Cell: 10.207 6.166 6.256 Å, 90.00 125.39 90.00°
Space group C2/m (No. 12)
Inequivalent atoms, fractional coordinates:
Li (0.129, 0.000, 0.396)
Mn (0.000, 0.500, 0.000)
Mn (0.250, 0.250, 0.000)
Sb (0.000, 0.500, 0.500)
O (0.013, 0.274, 0.753)
O (0.232, 0.500, 0.186)
O (0.236, 0.500, 0.731)



No. 2
Li9Mn2Co5O16: theoretical X-ray powder pattern (Cu Kα, 1.54184 Å), based on DFT lattice parameters and positions (GGA+U).
Intensities are scaled so that the largest is 100.

Peak list (10 most intense, 2θ = 5–70°, low angle first)
index	d (Å)	I_rel
0 0 1	9.785	13.8
0 2 0	4.885	100.0
1 1 2	2.529	13.8
-1 1 2	2.521	13.3
0 0 4	2.447	15.2
1 3 2	2.126	27.8
-1 3 2	2.107	27.5
0 2 -4	2.027	23.5
1 5 -2	1.480	7.6
-1 1 6	1.454	12.6

Atomic structure:
Cell: 2.970 9.988 10.012 Å, 78.00 89.95 89.41°
Space group P1 (No. 1)
Inequivalent atoms, fractional coordinates:
Li (0.000, 0.000, 0.000)
Li (0.002, 0.235, 0.621)
Li (0.005, 0.472, 0.252)
Li (0.495, 0.987, 0.240)
Li (0.497, 0.461, 0.497)
Li (0.501, 0.008, 0.742)
Li (0.503, 0.473, 0.004)
Li (0.993, 0.460, 0.748)
Li (0.996, 0.993, 0.483)
Mn (0.008, 0.733, 0.874)
Mn (0.490, 0.732, 0.618)
Co (0.494, 0.229, 0.858)
Co (0.503, 0.232, 0.378)
Co (0.526, 0.733, 0.132)
Co (0.971, 0.729, 0.362)
Co (0.996, 0.232, 0.117)
O (0.000, 0.110, 0.811)
O (0.006, 0.854, 0.178)
O (0.020, 0.622, 0.050)
O (0.031, 0.344, 0.430)
O (0.475, 0.841, 0.442)
O (0.489, 0.610, 0.310)
O (0.491, 0.119, 0.054)
O (0.499, 0.114, 0.535)
O (0.499, 0.354, 0.698)
O (0.504, 0.342, 0.198)
O (0.506, 0.840, 0.922)
O (0.508, 0.630, 0.811)
O (0.967, 0.120, 0.300)
O (0.991, 0.352, 0.947)
O (0.991, 0.622, 0.573)
O (0.993, 0.837, 0.681)



No. 3
LiSmW2O8: theoretical X-ray powder pattern (Cu Kα, 1.54184 Å), based on DFT lattice parameters and positions (GGA+U).
Intensities are scaled so that the largest is 100.

Peak list (10 most intense, 2θ = 5–70°, low angle first)
index	d (Å)	I_rel
1 0 1	4.796	37.6
1 1 2	3.124	100.0
1 0 3	3.080	14.0
0 0 4	2.842	13.8
2 0 0	2.645	21.4
2 0 4	1.936	31.0
2 2 0	1.870	13.8
1 1 6	1.690	16.8
1 3 2	1.605	28.4
2 2 4	1.562	11.9

Atomic structure:
Cell: 5.290 5.290 11.366 Å, 90.00 90.00 90.00°
Space group I-4 (No. 82)
Inequivalent atoms, fractional coordinates:
Li (0.000, 0.000, 0.000)
Sm (0.000, 0.500, 0.250)
W (0.000, 0.000, 0.500)
W (0.000, 0.500, 0.750)
O (0.155, 0.243, 0.411)
O (0.159, 0.747, 0.836)



No. 4
LiFeSi4O10: theoretical X-ray powder pattern (Cu Kα, 1.54184 Å), based on DFT lattice parameters and positions (GGA+U).
Intensities are scaled so that the largest is 100.

Peak list (10 most intense, 2θ = 5–70°, low angle first)
index	d (Å)	I_rel
0 1 1	6.069	91.8
1 1 1	3.791	87.5
1 0 2	3.702	100.0
0 2 0	3.579	24.1
0 1 3	3.367	45.1
0 2 2	3.035	82.4
1 1 3	2.767	25.5
1 2 2	2.573	46.5
1 0 4	2.465	34.7
2 1 0	2.299	40.4

Atomic structure:
Cell: 4.855 7.159 11.446 Å, 90.00 90.00 90.00°
Space group Pnc2 (No. 30)
Inequivalent atoms, fractional coordinates:
Li (0.000, 0.000, 0.000)
Fe (0.500, 0.000, 0.107)
Si (0.044, 0.213, 0.735)
Si (0.462, 0.714, 0.893)
O (0.000, 0.000, 0.687)
O (0.189, 0.152, 0.140)
O (0.233, 0.203, 0.855)
O (0.266, 0.706, 0.773)
O (0.323, 0.659, 0.493)
O (0.500, 0.000, 0.437)



No. 5
V2Te2O7F2: theoretical X-ray powder pattern (Cu Kα, 1.54184 Å), based on DFT lattice parameters and positions (GGA+U).
Intensities are scaled so that the largest is 100.

Peak list (10 most intense, 2θ = 5–70°, low angle first)
index	d (Å)	I_rel
0 1 0	5.055	89.0
0 1 1	4.906	35.9
1 -1 0	3.548	76.2
1 1 0	3.530	100.0
0 1 2	3.417	36.8
1 0 2	2.872	44.8
1 1 2	2.840	48.5
1 0 -2	2.806	39.0
-1 1 2	2.786	34.0
1 -2 0	2.256	36.2

Atomic structure:
Cell: 4.956 5.341 7.319 Å, 71.18 88.62 89.83°
Space group P-1 (No. 2)
Inequivalent atoms, fractional coordinates:
V (0.239, 0.154, 0.364)
Te (0.278, 0.185, 0.825)
O (0.000, 0.000, 0.000)
O (0.075, 0.091, 0.628)
O (0.132, 0.450, 0.235)
O (0.477, 0.106, 0.141)
F (0.439, 0.763, 0.510)



No. 6
KPrFe4O12: theoretical X-ray powder pattern (Cu Kα, 1.54184 Å), based on DFT lattice parameters and positions (GGA+U).
Intensities are scaled so that the largest is 100.

Peak list (10 most intense, 2θ = 5–70°, low angle first)
index	d (Å)	I_rel
1 0 0	7.726	17.0
0 1 1	5.443	17.3
1 1 1	4.450	64.3
0 2 2	2.725	100.0
3 1 1	2.326	22.6
4 0 0	1.931	16.5
0 4 0	1.928	16.4
0 0 4	1.921	16.8
2 4 2	1.574	26.0
4 0 4	1.361	17.8

Atomic structure:
Cell: 7.726 7.710 7.685 Å, 90.00 90.00 90.00°
Space group Amm2 (No. 38)
Inequivalent atoms, fractional coordinates:
K (0.000, 0.000, 0.000)
Pr (0.500, 0.000, 0.498)
Fe (0.245, 0.250, 0.248)
O (0.000, 0.240, 0.252)
O (0.249, 0.000, 0.750)
O (0.261, 0.230, 0.498)
O (0.279, 0.000, 0.247)
O (0.500, 0.233, 0.746)